# 1
Calculated X-ray powder pattern
Compound: Li4Mn2Fe3SbP6O24
Radiation: Cu Ka
Structure: a structure optimized by DFT (GGA+U)
Neutral-atom scattering factors, no anomalous dispersion.

Structure:
```
data_Li4Mn2Fe3SbP6O24
_chemical_formula_sum 'Li4 Mn2 Fe3 Sb1 P6 O24'
_symmetry_space_group_name_H-M 'P 1'
_symmetry_Int_Tables_number 1
_cell_length_a 8.457
_cell_length_b 8.549
_cell_length_c 8.562
_cell_angle_alpha 64.50
_cell_angle_beta 64.99
_cell_angle_gamma 64.73
loop_
_symmetry_equiv_pos_as_xyz
'x,y,z'
loop_
_atom_site_label
_atom_site_fract_x
_atom_site_fract_y
_atom_site_fract_z
_atom_site_occupancy
Li1 0.000 0.000 0.000 1
Li2 0.093 0.502 0.932 1
Li3 0.535 0.698 0.291 1
Li4 0.894 0.137 0.484 1
Mn1 0.265 0.859 0.641 1
Mn2 0.736 0.364 0.144 1
Fe1 0.399 0.008 0.790 1
Fe2 0.599 0.206 0.991 1
Fe3 0.911 0.517 0.307 1
Sb1 0.092 0.692 0.487 1
P1 0.192 0.105 0.188 1
P2 0.323 0.604 0.075 1
P3 0.501 0.400 0.594 1
P4 0.682 0.930 0.392 1
P5 0.802 0.807 0.896 1
P6 0.997 0.289 0.714 1
O1 0.007 0.264 0.212 1
O2 0.062 0.438 0.706 1
O3 0.142 0.099 0.732 1
O4 0.154 0.544 0.124 1
O5 0.179 0.958 0.385 1
O6 0.205 0.033 0.047 1
O7 0.319 0.663 0.226 1
O8 0.319 0.762 0.896 1
O9 0.355 0.599 0.572 1
O10 0.360 0.166 0.132 1
O11 0.422 0.256 0.629 1
O12 0.495 0.945 0.537 1
O13 0.505 0.447 0.052 1
O14 0.574 0.356 0.748 1
O15 0.645 0.855 0.828 1
O16 0.655 0.420 0.406 1
O17 0.677 0.107 0.226 1
O18 0.729 0.762 0.336 1
O19 0.785 0.960 0.959 1
O20 0.813 0.620 0.052 1
O21 0.832 0.920 0.458 1
O22 0.845 0.266 0.901 1
O23 0.938 0.335 0.548 1
O24 0.999 0.775 0.747 1
```

Main lines, by intensity (10° ≤ 2θ ≤ 80°):
2theta	Rel. int.
19.5	100
34.1	48
33.2	39
33.0	39
33.4	36
23.4	33
23.6	32
23.8	32
33.9	24
48.2	17

# 2
Calculated X-ray powder pattern
Compound: Li4Mn2Fe3SnP6O24
Radiation: Cu Ka
Structure: a structure optimized by DFT (GGA+U)
Neutral-atom scattering factors, no anomalous dispersion.

Structure:
```
data_Li4Mn2Fe3SnP6O24
_chemical_formula_sum 'Li4 Mn2 Fe3 Sn1 P6 O24'
_symmetry_space_group_name_H-M 'P 1'
_symmetry_Int_Tables_number 1
_cell_length_a 8.589
_cell_length_b 8.672
_cell_length_c 8.692
_cell_angle_alpha 62.85
_cell_angle_beta 63.34
_cell_angle_gamma 63.39
loop_
_symmetry_equiv_pos_as_xyz
'x,y,z'
loop_
_atom_site_label
_atom_site_fract_x
_atom_site_fract_y
_atom_site_fract_z
_atom_site_occupancy
Li1 0.000 0.000 0.000 1
Li2 0.103 0.501 0.864 1
Li3 0.454 0.706 0.303 1
Li4 0.896 0.057 0.510 1
Mn1 0.260 0.852 0.648 1
Mn2 0.725 0.351 0.146 1
Fe1 0.094 0.694 0.503 1
Fe2 0.397 0.000 0.797 1
Fe3 0.595 0.203 0.001 1
Sn1 0.894 0.499 0.306 1
P1 0.001 0.295 0.710 1
P2 0.187 0.101 0.203 1
P3 0.301 0.606 0.097 1
P4 0.500 0.401 0.602 1
P5 0.693 0.908 0.405 1
P6 0.804 0.801 0.908 1
O1 0.067 0.447 0.680 1
O2 0.140 0.537 0.142 1
O3 0.145 0.104 0.726 1
O4 0.171 0.948 0.395 1
O5 0.194 0.048 0.054 1
O6 0.273 0.668 0.251 1
O7 0.292 0.766 0.917 1
O8 0.346 0.165 0.155 1
O9 0.349 0.595 0.578 1
O10 0.438 0.250 0.630 1
O11 0.485 0.454 0.075 1
O12 0.504 0.922 0.549 1
O13 0.574 0.365 0.747 1
O14 0.639 0.841 0.858 1
O15 0.650 0.431 0.400 1
O16 0.694 0.085 0.239 1
O17 0.735 0.744 0.344 1
O18 0.790 0.945 0.973 1
O19 0.825 0.600 0.061 1
O20 0.843 0.875 0.477 1
O21 0.849 0.274 0.898 1
O22 0.937 0.336 0.549 1
O23 0.990 0.255 0.240 1
O24 0.994 0.772 0.754 1
```

Main lines, by intensity (10° ≤ 2θ ≤ 80°):
2theta	Rel. int.
19.6	100
34.3	66
32.4	37
23.3	34
23.5	34
32.9	33
23.6	33
53.5	22
32.6	18
20.5	18

# 3
Calculated X-ray powder pattern
Compound: Li4Mn2Fe3P6WO24
Radiation: Cu Ka
Structure: a structure optimized by DFT (GGA+U)
Neutral-atom scattering factors, no anomalous dispersion.

Structure:
```
data_Li4Mn2Fe3P6WO24
_chemical_formula_sum 'Li4 Mn2 Fe3 P6 W1 O24'
_symmetry_space_group_name_H-M 'P 1'
_symmetry_Int_Tables_number 1
_cell_length_a 8.583
_cell_length_b 8.639
_cell_length_c 8.698
_cell_angle_alpha 63.24
_cell_angle_beta 63.53
_cell_angle_gamma 63.68
loop_
_symmetry_equiv_pos_as_xyz
'x,y,z'
loop_
_atom_site_label
_atom_site_fract_x
_atom_site_fract_y
_atom_site_fract_z
_atom_site_occupancy
Li1 0.000 0.000 0.000 1
Li2 0.101 0.504 0.859 1
Li3 0.447 0.706 0.307 1
Li4 0.898 0.052 0.516 1
Mn1 0.259 0.852 0.648 1
Mn2 0.724 0.353 0.142 1
Fe1 0.092 0.694 0.500 1
Fe2 0.397 0.001 0.798 1
Fe3 0.596 0.202 0.002 1
P1 0.000 0.297 0.709 1
P2 0.190 0.099 0.203 1
P3 0.300 0.606 0.098 1
P4 0.498 0.399 0.607 1
P5 0.695 0.907 0.405 1
P6 0.802 0.803 0.906 1
W1 0.891 0.497 0.302 1
O1 0.066 0.449 0.680 1
O2 0.135 0.541 0.146 1
O3 0.145 0.105 0.725 1
O4 0.177 0.944 0.392 1
O5 0.194 0.048 0.054 1
O6 0.274 0.666 0.253 1
O7 0.292 0.766 0.919 1
O8 0.347 0.591 0.584 1
O9 0.349 0.163 0.154 1
O10 0.437 0.246 0.633 1
O11 0.482 0.453 0.075 1
O12 0.507 0.916 0.549 1
O13 0.573 0.360 0.752 1
O14 0.637 0.845 0.857 1
O15 0.648 0.432 0.406 1
O16 0.694 0.084 0.240 1
O17 0.748 0.742 0.340 1
O18 0.788 0.946 0.973 1
O19 0.828 0.602 0.054 1
O20 0.845 0.878 0.476 1
O21 0.849 0.274 0.897 1
O22 0.934 0.342 0.550 1
O23 0.990 0.778 0.749 1
O24 0.994 0.252 0.244 1
```

Main lines, by intensity (10° ≤ 2θ ≤ 80°):
2theta	Rel. int.
19.5	100
34.2	56
23.4	47
32.6	32
53.3	30
23.6	29
32.8	28
12.0	19
32.4	16
32.9	14

# 4
Calculated X-ray powder pattern
Compound: Li4Mn3Fe2Sb3O16
Radiation: Cu Ka
Structure: a structure optimized by DFT (GGA+U)
Neutral-atom scattering factors, no anomalous dispersion.

Structure:
```
data_Li4Mn3Fe2Sb3O16
_chemical_formula_sum 'Li8 Mn6 Fe4 Sb6 O32'
_symmetry_space_group_name_H-M 'C 1 m 1'
_symmetry_Int_Tables_number 8
_cell_length_a 10.966
_cell_length_b 6.057
_cell_length_c 9.834
_cell_angle_alpha 90.00
_cell_angle_beta 92.40
_cell_angle_gamma 90.00
loop_
_symmetry_equiv_pos_as_xyz
'x,y,z'
'x,-y,z'
'x+1/2,y+1/2,z'
'x+1/2,-y+1/2,z'
loop_
_atom_site_label
_atom_site_fract_x
_atom_site_fract_y
_atom_site_fract_z
_atom_site_occupancy
Li1 0.000 0.000 0.000 1
Li2 0.013 0.000 0.514 1
Li3 0.176 0.500 0.104 1
Li4 0.339 0.000 0.622 1
Mn1 0.086 0.255 0.791 1
Mn2 0.169 0.000 0.290 1
Fe1 0.157 0.500 0.519 1
Fe2 0.323 0.000 0.001 1
Sb1 0.328 0.500 0.787 1
Sb2 0.416 0.248 0.286 1
O1 0.022 0.500 0.680 1
O2 0.068 0.245 0.402 1
O3 0.157 0.000 0.905 1
O4 0.170 0.500 0.897 1
O5 0.248 0.275 0.665 1
O6 0.271 0.228 0.160 1
O7 0.344 0.500 0.397 1
O8 0.346 0.000 0.401 1
O9 0.405 0.260 0.909 1
O10 0.483 0.000 0.165 1
O11 0.490 0.500 0.183 1
O12 0.495 0.500 0.700 1
```

Main lines, by intensity (10° ≤ 2θ ≤ 80°):
2theta	Rel. int.
18.1	100
18.9	48
59.1	46
34.9	45
18.2	41
35.3	31
43.5	27
38.3	25
19.2	23
32.4	23

# 5
Calculated X-ray powder pattern
Compound: Li4Mn3Fe3Sb2O16
Radiation: Cu Ka
Structure: a structure optimized by DFT (GGA+U)
Neutral-atom scattering factors, no anomalous dispersion.

Structure:
```
data_Li4Mn3Fe3Sb2O16
_chemical_formula_sum 'Li8 Mn6 Fe6 Sb4 O32'
_symmetry_space_group_name_H-M 'C 1 m 1'
_symmetry_Int_Tables_number 8
_cell_length_a 10.415
_cell_length_b 5.999
_cell_length_c 9.801
_cell_angle_alpha 90.00
_cell_angle_beta 90.75
_cell_angle_gamma 90.00
loop_
_symmetry_equiv_pos_as_xyz
'x,y,z'
'x,-y,z'
'x+1/2,y+1/2,z'
'x+1/2,-y+1/2,z'
loop_
_atom_site_label
_atom_site_fract_x
_atom_site_fract_y
_atom_site_fract_z
_atom_site_occupancy
Li1 0.000 0.000 0.000 1
Li2 0.001 0.000 0.499 1
Li3 0.166 0.500 0.084 1
Li4 0.332 0.000 0.582 1
Mn1 0.083 0.255 0.776 1
Mn2 0.170 0.000 0.277 1
Fe1 0.329 0.500 0.772 1
Fe2 0.414 0.246 0.274 1
Sb1 0.165 0.500 0.502 1
Sb2 0.333 0.000 0.003 1
O1 0.004 0.000 0.689 1
O2 0.005 0.000 0.187 1
O3 0.016 0.500 0.635 1
O4 0.081 0.253 0.394 1
O5 0.160 0.500 0.873 1
O6 0.166 0.000 0.898 1
O7 0.244 0.280 0.640 1
O8 0.263 0.227 0.139 1
O9 0.329 0.000 0.377 1
O10 0.332 0.500 0.392 1
O11 0.413 0.251 0.893 1
O12 0.482 0.000 0.142 1
```

Main lines, by intensity (10° ≤ 2θ ≤ 80°):
2theta	Rel. int.
19.2	100
19.4	95
32.5	37
34.8	34
35.1	32
61.8	31
25.1	30
35.2	30
35.8	28
32.3	24

# 6
Calculated X-ray powder pattern
Compound: Li4Mn2Fe3Sn3O16
Radiation: Cu Ka
Structure: a structure optimized by DFT (GGA+U)
Neutral-atom scattering factors, no anomalous dispersion.

Structure:
```
data_Li4Mn2Fe3Sn3O16
_chemical_formula_sum 'Li8 Mn4 Fe6 Sn6 O32'
_symmetry_space_group_name_H-M 'C 1 m 1'
_symmetry_Int_Tables_number 8
_cell_length_a 10.533
_cell_length_b 6.162
_cell_length_c 9.681
_cell_angle_alpha 90.00
_cell_angle_beta 91.18
_cell_angle_gamma 90.00
loop_
_symmetry_equiv_pos_as_xyz
'x,y,z'
'x,-y,z'
'x+1/2,y+1/2,z'
'x+1/2,-y+1/2,z'
loop_
_atom_site_label
_atom_site_fract_x
_atom_site_fract_y
_atom_site_fract_z
_atom_site_occupancy
Li1 0.000 0.000 0.000 1
Li2 0.001 0.000 0.508 1
Li3 0.190 0.500 0.903 1
Li4 0.356 0.000 0.409 1
Mn1 0.187 0.500 0.502 1
Mn2 0.359 0.000 0.990 1
Fe1 0.350 0.500 0.229 1
Fe2 0.433 0.250 0.723 1
Sn1 0.107 0.249 0.220 1
Sn2 0.186 0.000 0.721 1
O1 0.014 0.000 0.819 1
O2 0.020 0.000 0.321 1
O3 0.044 0.500 0.356 1
O4 0.094 0.240 0.611 1
O5 0.182 0.000 0.098 1
O6 0.190 0.500 0.106 1
O7 0.266 0.278 0.349 1
O8 0.282 0.217 0.860 1
O9 0.343 0.500 0.615 1
O10 0.354 0.000 0.615 1
O11 0.435 0.254 0.105 1
O12 0.497 0.000 0.860 1
```

Main lines, by intensity (10° ≤ 2θ ≤ 80°):
2theta	Rel. int.
18.3	100
19.0	70
35.1	66
43.9	43
34.5	38
34.9	34
60.7	31
58.7	28
44.4	27
19.1	27